Diffraction record for Ac3Pd4Au4. The PXRD pattern is theoretical, not measured: it uses a PBE-relaxed structure and Cu Kα.
Neutral-atom scattering factors, no anomalous dispersion.

Cell and atoms:
```
Ac3Pd4Au4
1.0
4.071 0.000 0.000
0.002 4.432 0.000
1.977 2.160 14.732
Ac Pd Au
3 4 4
direct
0.000 0.000 0.000
0.152 0.650 0.699
0.848 0.350 0.301
0.310 0.811 0.377
0.459 0.455 0.090
0.541 0.545 0.910
0.690 0.189 0.623
0.254 0.254 0.492
0.401 0.904 0.194
0.599 0.096 0.806
0.746 0.746 0.508
```

Most intense lines, 2θ from 10° to 90°, sorted by position:
2θ/deg  I (rel.)
30.49  231
30.61  231
32.22  1000
32.29  331
39.23  194
39.37  190
40.72  343
44.51  267
51.81  130
61.90  202

=====

Diffraction record for Ac5Pd5Au2. The PXRD pattern is theoretical, not measured: it uses a PBE-relaxed structure and Cu Kα.
Neutral-atom scattering factors, no anomalous dispersion.

Cell and atoms:
```
Ac5Pd5Au2
1.0
8.088 -2.157 0.000
8.088 2.157 0.000
-7.388 0.000 9.364
Ac Pd Au
5 5 2
direct
0.000 0.000 0.000
0.102 0.102 0.423
0.199 0.199 0.826
0.801 0.801 0.174
0.898 0.898 0.577
0.279 0.279 0.338
0.423 0.423 0.134
0.500 0.500 0.500
0.577 0.577 0.866
0.721 0.721 0.662
0.359 0.359 0.742
0.641 0.641 0.258
```

Most intense lines, 2θ from 10° to 90°, sorted by position:
2θ/deg  I (rel.)
29.91  474
30.77  1000
31.81  490
32.45  305
35.40  371
36.85  741
41.88  373
46.26  191
52.32  204
62.92  212

=====

Diffraction record for AcSn2Pd4Au. The PXRD pattern is theoretical, not measured: it uses a PBE-relaxed structure and Cu Kα.
Neutral-atom scattering factors, no anomalous dispersion.

Cell and atoms:
```
AcSn2Pd4Au
1.0
2.275 1.313 9.335
-2.275 1.313 9.335
0.000 -2.626 9.335
Ac Sn Pd Au
1 2 4 1
direct
0.000 0.000 0.000
0.236 0.236 0.236
0.764 0.764 0.764
0.130 0.130 0.130
0.401 0.401 0.401
0.599 0.599 0.599
0.870 0.870 0.870
0.500 0.500 0.500
```

Most intense lines, 2θ from 10° to 90°, sorted by position:
2θ/deg  I (rel.)
23.46  177
25.95  158
34.27  944
39.48  149
39.62  1000
42.26  213
53.37  270
68.47  258
71.87  227
73.73  122

=====

Diffraction record for Ac2TlPd12Au3. The PXRD pattern is theoretical, not measured: it uses a PBE-relaxed structure and Cu Kα.
Neutral-atom scattering factors, no anomalous dispersion.

Cell and atoms:
```
Ac2TlPd12Au3
1.0
4.679 2.702 4.606
-4.679 2.702 4.606
0.000 -5.403 4.606
Ac Tl Pd Au
2 1 12 3
direct
0.197 0.197 0.197
0.803 0.803 0.803
0.500 0.500 0.500
0.092 0.092 0.629
0.092 0.629 0.092
0.214 0.700 0.700
0.300 0.300 0.786
0.300 0.786 0.300
0.371 0.908 0.908
0.629 0.092 0.092
0.700 0.214 0.700
0.700 0.700 0.214
0.786 0.300 0.300
0.908 0.371 0.908
0.908 0.908 0.371
0.000 0.500 0.500
0.500 0.000 0.500
0.500 0.500 0.000
```

Most intense lines, 2θ from 10° to 90°, sorted by position:
2θ/deg  I (rel.)
27.17  374
38.48  1000
38.64  171
39.47  669
55.67  116
56.30  225
69.60  161
70.26  220
72.23  171
84.95  100

=====

Diffraction record for Ac2ZnPd4Au2. The PXRD pattern is theoretical, not measured: it uses a PBE-relaxed structure and Cu Kα.
Neutral-atom scattering factors, no anomalous dispersion.

Cell and atoms:
```
Ac2ZnPd4Au2
1.0
-3.255 3.255 4.560
3.255 -3.255 4.560
3.255 3.255 -4.560
Ac Zn Pd Au
2 1 4 2
direct
0.250 0.750 0.500
0.750 0.250 0.500
0.000 0.000 0.000
0.278 0.278 0.556
0.278 0.722 0.000
0.722 0.278 0.000
0.722 0.722 0.444
0.279 0.279 0.000
0.721 0.721 0.000
```

Most intense lines, 2θ from 10° to 90°, sorted by position:
2θ/deg  I (rel.)
27.40  161
33.84  1000
39.14  428
39.52  192
43.02  97
56.55  136
56.84  245
67.56  231
68.08  93
71.18  115

=====

Diffraction record for Ac3Pm4Au4. The PXRD pattern is theoretical, not measured: it uses a PBE-relaxed structure and Cu Kα.
Neutral-atom scattering factors, no anomalous dispersion.

Cell and atoms:
```
Ac3Pm4Au4
1.0
-2.521 4.059 8.257
2.521 -4.059 8.257
2.521 4.059 -8.257
Ac Pm Au
3 4 4
direct
0.000 0.000 0.000
0.394 0.894 0.500
0.606 0.106 0.500
0.038 0.326 0.712
0.386 0.674 0.712
0.614 0.326 0.288
0.962 0.674 0.288
0.209 0.209 0.000
0.309 0.500 0.809
0.691 0.500 0.191
0.791 0.791 0.000
```

Most intense lines, 2θ from 10° to 90°, sorted by position:
2θ/deg  I (rel.)
28.75  1000
29.19  323
30.06  625
35.61  415
39.33  196
39.45  203
43.22  149
46.68  183
57.20  133
64.37  139

=====

Diffraction record for Ac2PmAu5. The PXRD pattern is theoretical, not measured: it uses a PBE-relaxed structure and Cu Kα.
Neutral-atom scattering factors, no anomalous dispersion.

Cell and atoms:
```
Ac2PmAu5
1.0
-2.680 2.680 7.258
2.680 -2.680 7.258
2.680 2.680 -7.258
Ac Pm Au
2 1 5
direct
0.223 0.223 0.000
0.777 0.777 0.000
0.500 0.500 0.000
0.000 0.000 0.000
0.110 0.610 0.500
0.390 0.890 0.500
0.610 0.110 0.500
0.890 0.390 0.500
```

Most intense lines, 2θ from 10° to 90°, sorted by position:
2θ/deg  I (rel.)
33.44  648
34.21  1000
35.16  66
44.43  67
48.01  239
60.26  401
61.74  96
70.24  78
80.06  111
80.50  90

=====

Diffraction record for Ac5PrAu6. The PXRD pattern is theoretical, not measured: it uses a PBE-relaxed structure and Cu Kα.
Neutral-atom scattering factors, no anomalous dispersion.

Cell and atoms:
```
Ac5PrAu6
1.0
8.713 -3.856 0.000
8.713 3.856 0.000
-1.739 0.000 5.235
Ac Pr Au
5 1 6
direct
0.000 0.000 0.000
0.166 0.166 0.667
0.334 0.334 0.334
0.666 0.666 0.666
0.834 0.834 0.333
0.500 0.500 0.000
0.093 0.581 0.837
0.260 0.740 0.500
0.419 0.907 0.163
0.581 0.093 0.837
0.740 0.260 0.500
0.907 0.419 0.163
```

Most intense lines, 2θ from 10° to 90°, sorted by position:
2θ/deg  I (rel.)
32.47  509
32.66  1000
46.58  190
47.13  91
58.05  396
58.40  193
68.43  121
77.42  87
78.32  82
86.85  66

=====

Diffraction record for AcPr2Au3. The PXRD pattern is theoretical, not measured: it uses a PBE-relaxed structure and Cu Kα.
Neutral-atom scattering factors, no anomalous dispersion.

Cell and atoms:
```
AcPr2Au3
1.0
3.797 0.000 0.000
0.000 3.797 0.000
0.000 0.000 11.413
Ac Pr Au
1 2 3
direct
0.000 0.000 0.000
0.000 0.000 0.337
0.000 0.000 0.663
0.500 0.500 0.181
0.500 0.500 0.500
0.500 0.500 0.819
```

Most intense lines, 2θ from 10° to 90°, sorted by position:
2θ/deg  I (rel.)
24.71  12
28.23  19
33.35  1000
47.82  56
47.92  125
59.61  371
70.05  113
79.73  45
79.89  113
89.33  41

=====

Diffraction record for Ac3Pt2Au2. The PXRD pattern is theoretical, not measured: it uses a PBE-relaxed structure and Cu Kα.
Neutral-atom scattering factors, no anomalous dispersion.

Cell and atoms:
```
Ac3Pt2Au2
1.0
4.372 0.000 0.000
2.186 5.609 0.000
0.002 2.531 8.445
Ac Pt Au
3 2 2
direct
0.000 0.000 0.000
0.334 0.332 0.314
0.666 0.668 0.686
0.289 0.421 0.927
0.711 0.579 0.073
0.072 0.859 0.385
0.928 0.141 0.615
```

Most intense lines, 2θ from 10° to 90°, sorted by position:
2θ/deg  I (rel.)
31.67  165
31.79  202
31.93  240
32.27  1000
40.28  467
41.30  245
44.89  194
53.09  216
61.75  132
62.63  137

=====

Diffraction record for Ac2PtAu3. The PXRD pattern is theoretical, not measured: it uses a PBE-relaxed structure and Cu Kα.
Neutral-atom scattering factors, no anomalous dispersion.

Cell and atoms:
```
Ac2PtAu3
1.0
3.951 0.000 0.000
0.000 4.903 0.000
0.000 0.000 8.127
Ac Pt Au
2 1 3
direct
0.000 0.000 0.000
0.000 0.500 0.473
0.500 0.000 0.310
0.500 0.000 0.650
0.500 0.500 0.153
0.500 0.500 0.811
```

Most intense lines, 2θ from 10° to 90°, sorted by position:
2θ/deg  I (rel.)
31.08  1000
31.58  535
36.66  372
37.95  651
45.93  197
49.15  320
60.15  179
61.05  333
62.55  141
64.88  145

=====

Diffraction record for Ac2Pt3Au. The PXRD pattern is theoretical, not measured: it uses a PBE-relaxed structure and Cu Kα.
Neutral-atom scattering factors, no anomalous dispersion.

Cell and atoms:
```
Ac2Pt3Au
1.0
-2.085 2.121 8.703
2.085 -2.121 8.703
2.085 2.121 -8.703
Ac Pt Au
2 3 1
direct
0.000 0.000 0.000
0.738 0.238 0.500
0.158 0.658 0.500
0.309 0.809 0.500
0.567 0.567 0.000
0.410 0.410 0.000
```

Most intense lines, 2θ from 10° to 90°, sorted by position:
2θ/deg  I (rel.)
31.80  1000
33.29  217
33.54  364
42.12  279
42.32  137
42.62  218
43.40  207
55.29  180
62.08  181
62.46  143